Li2PmNd2Si2: computed powder diffractogram (Cu Kα (λ = 1.5418 Å)), based on a structure optimized by DFT (GGA-PBE).

Atomic structure:
Cell lengths 9.662, 9.662, 9.662 Å; angles 26.95, 26.95, 26.95 degrees
Atoms (fractional coordinates):
Li 0.103 0.103 0.103
Li 0.897 0.897 0.897
Pm 0.500 0.500 0.500
Nd 0.374 0.374 0.374
Nd 0.626 0.626 0.626
Si 0.234 0.234 0.234
Si 0.766 0.766 0.766

Top 12 peaks for 5 to 70 degrees two-theta, low angle first:
2theta  I (rel.)
23.03  100
28.78  14
32.10  61
34.49  73
40.05  53
46.70  15
50.06  18
52.22  15
53.86  20
65.01  19
67.78  14
69.19  19

LiPrNdSi: computed powder diffractogram (Cu Kα (λ = 1.5418 Å)), based on a structure optimized by DFT (GGA-PBE).

Atomic structure:
Cell lengths 5.178, 5.178, 5.178 Å; angles 60.00, 60.00, 60.00 degrees
Atoms (fractional coordinates):
Li 0.000 0.000 0.000
Pr 0.250 0.250 0.250
Nd 0.750 0.750 0.750
Si 0.500 0.500 0.500

Top 8 peaks for 5 to 70 degrees two-theta, low angle first:
2theta  I (rel.)
21.01  1
24.31  77
34.65  100
40.87  1
42.78  23
49.81  18
56.17  31
62.09  37